Record 1
Diffraction record for ErTm2Al3Au3. The powder XRD pattern is calculated, not measured: it uses a cell relaxed with GGA-PBE and Cu Kα, 1.54184 Å.
Peak positions follow from Bragg's law for the DFT cell and can differ from measured ones.

Peak list (10 most intense, 15° ≤ 2θ ≤ 90°, sorted by position)
d/Å, 2θ/deg, intensity
3.621, 24.58, 49
3.406, 26.17, 25
2.701, 33.17, 65
2.481, 36.21, 100
2.091, 43.27, 36
2.047, 44.25, 35
2.028, 44.69, 23
1.599, 57.66, 17
1.456, 63.96, 23
1.356, 69.28, 25

Structural model:
```
9
Lattice="4.055 0.000 0.000 0.000 6.276 3.620 0.000 -6.276 3.620" Properties=species:S:1:pos:R:3 pbc="T T T"
Er 0.000 0.000 0.000
Tm 0.000 -2.589 4.485
Tm 0.000 2.589 4.485
Al 2.028 -1.531 2.111
Al 2.028 1.531 2.111
Al 2.028 0.000 4.757
Au 0.000 0.000 2.997
Au 2.028 -4.175 2.991
Au 2.028 4.175 2.991
```


Record 2
Diffraction record for PrNdCN2O2. The powder XRD pattern is calculated, not measured: it uses a cell relaxed with GGA-PBE and Cu Kα, 1.54184 Å.
Peak positions follow from Bragg's law for the DFT cell and can differ from measured ones.

Peak list (10 most intense, 15° ≤ 2θ ≤ 90°, sorted by position)
d/Å, 2θ/deg, intensity
4.155, 21.39, 19
3.140, 28.43, 100
2.770, 32.32, 17
2.627, 34.13, 39
2.145, 42.12, 22
1.958, 46.38, 30
1.771, 51.60, 35
1.661, 55.30, 17
1.599, 57.66, 19
1.267, 74.97, 18

Structural model:
```
7
Lattice="3.916 0.000 0.000 -1.958 3.391 0.000 0.000 0.000 8.310" Properties=species:S:1:pos:R:3 pbc="T T T"
Pr 0.000 0.000 0.000
Nd 0.000 2.261 3.014
C 1.958 1.130 5.663
N 1.958 1.130 4.425
N 1.958 1.130 6.900
O 0.000 0.000 2.376
O 0.000 2.261 0.654
```


Record 3
Diffraction record for LaScGa4Ir2. The powder XRD pattern is calculated, not measured: it uses a cell relaxed with GGA-PBE and Cu Kα, 1.54184 Å.
Peak positions follow from Bragg's law for the DFT cell and can differ from measured ones.

Peak list (10 most intense, 15° ≤ 2θ ≤ 90°, sorted by position)
d/Å, 2θ/deg, intensity
4.923, 18.02, 56
3.593, 24.78, 35
3.421, 26.05, 61
2.639, 33.97, 100
2.446, 36.75, 55
2.434, 36.93, 57
2.329, 38.67, 60
2.117, 42.71, 57
2.107, 42.93, 33
2.039, 44.42, 62

Structural model:
```
8
Lattice="4.234 0.000 0.000 0.000 7.185 0.000 -2.090 0.000 4.923" Properties=species:S:1:pos:R:3 pbc="T T T"
La 0.000 0.000 0.000
Sc 2.139 3.593 3.400
Ga 0.027 1.515 2.811
Ga 0.027 5.670 2.811
Ga 2.122 2.249 0.652
Ga 2.122 4.936 0.652
Ir 0.006 3.593 1.317
Ir 2.149 0.000 2.159
```


Record 4
Diffraction record for BaTl2PdPt. The powder XRD pattern is calculated, not measured: it uses a cell relaxed with GGA-PBE and Cu Kα, 1.54184 Å.
Peak positions follow from Bragg's law for the DFT cell and can differ from measured ones.

Peak list (10 most intense, 15° ≤ 2θ ≤ 90°, sorted by position)
d/Å, 2θ/deg, intensity
4.476, 19.83, 26
2.926, 30.55, 87
2.914, 30.68, 79
2.457, 36.58, 100
2.139, 42.25, 63
1.986, 45.68, 23
1.878, 48.47, 45
1.737, 52.69, 35
1.493, 62.17, 34
1.348, 69.74, 29

Structural model:
```
10
Lattice="4.913 0.000 0.000 0.000 4.913 0.000 0.000 0.000 10.858" Properties=species:S:1:pos:R:3 pbc="T T T"
Ba 1.228 1.228 2.597
Ba 3.685 3.685 8.261
Tl 1.228 1.228 9.576
Tl 1.228 3.685 5.429
Tl 3.685 1.228 5.429
Tl 3.685 3.685 1.282
Pd 1.228 3.685 0.000
Pd 3.685 1.228 0.000
Pt 1.228 1.228 6.825
Pt 3.685 3.685 4.033
```


Record 5
Diffraction record for Y2HfP3. The powder XRD pattern is calculated, not measured: it uses a cell relaxed with GGA-PBE and Cu Kα, 1.54184 Å.
Peak positions follow from Bragg's law for the DFT cell and can differ from measured ones.

Peak list (10 most intense, 15° ≤ 2θ ≤ 90°, sorted by position)
d/Å, 2θ/deg, intensity
3.197, 27.91, 17
3.174, 28.12, 52
2.754, 32.52, 100
1.953, 46.51, 35
1.942, 46.78, 34
1.660, 55.36, 15
1.587, 58.13, 18
1.234, 77.31, 14
1.229, 77.72, 16
1.123, 86.69, 12

Structural model:
```
6
Lattice="3.884 0.000 0.000 -1.942 3.363 0.000 0.000 0.000 9.592" Properties=species:S:1:pos:R:3 pbc="T T T"
Y 0.000 2.242 3.142
Y 1.942 1.121 6.450
Hf 0.000 0.000 0.000
P 0.000 0.000 4.796
P 0.000 2.242 8.142
P 1.942 1.121 1.450
```


Record 6
Diffraction record for Ta3TlP5. The powder XRD pattern is calculated, not measured: it uses a cell relaxed with GGA-PBE and Cu Kα, 1.54184 Å.
Peak positions follow from Bragg's law for the DFT cell and can differ from measured ones.

Peak list (10 most intense, 15° ≤ 2θ ≤ 90°, sorted by position)
d/Å, 2θ/deg, intensity
3.832, 23.21, 100
2.975, 30.04, 40
2.601, 34.48, 57
2.505, 35.85, 81
2.309, 39.02, 40
1.916, 47.45, 97
1.844, 49.43, 22
1.804, 50.59, 26
1.446, 64.43, 23
1.279, 74.14, 24

Structural model:
```
9
Lattice="5.785 0.000 0.000 -2.892 5.010 0.000 0.000 0.000 5.949" Properties=species:S:1:pos:R:3 pbc="T T T"
Ta -1.446 2.505 0.000
Ta 2.892 0.000 0.000
Ta 1.446 2.505 0.000
Tl 0.000 0.000 2.975
P 0.000 0.000 0.000
P 0.000 3.340 1.883
P 0.000 3.340 4.066
P 2.892 1.670 1.883
P 2.892 1.670 4.066
```


Record 7
Diffraction record for DyErNO. The powder XRD pattern is calculated, not measured: it uses a cell relaxed with GGA-PBE and Cu Kα, 1.54184 Å.
Peak positions follow from Bragg's law for the DFT cell and can differ from measured ones.

Peak list (10 most intense, 15° ≤ 2θ ≤ 90°, sorted by position)
d/Å, 2θ/deg, intensity
3.419, 26.07, 35
3.291, 27.09, 23
2.800, 31.96, 100
2.729, 32.82, 39
2.441, 36.82, 32
2.000, 45.34, 17
1.924, 47.25, 30
1.613, 57.09, 17
1.547, 59.77, 15
1.511, 61.36, 27

Structural model:
```
16
Lattice="8.001 0.000 0.000 0.000 6.582 0.000 0.000 0.000 4.882" Properties=species:S:1:pos:R:3 pbc="T T T"
Dy 0.982 0.454 1.221
Dy 0.982 2.837 3.662
Dy 7.019 3.745 1.221
Dy 7.019 6.128 3.662
Er 2.993 3.846 1.221
Er 2.993 6.027 3.662
Er 5.008 0.555 1.221
Er 5.008 2.736 3.662
N 3.017 3.763 3.662
N 3.017 6.110 1.221
N 4.983 0.472 3.662
N 4.983 2.819 1.221
O 1.086 0.612 3.662
O 1.086 2.680 1.221
O 6.914 3.903 3.662
O 6.914 5.971 1.221
```


Record 8
Diffraction record for GdYF6. The powder XRD pattern is calculated, not measured: it uses a cell relaxed with GGA-PBE and Cu Kα, 1.54184 Å.
Peak positions follow from Bragg's law for the DFT cell and can differ from measured ones.

Peak list (10 most intense, 15° ≤ 2θ ≤ 90°, sorted by position)
d/Å, 2θ/deg, intensity
4.915, 18.05, 100
2.885, 30.99, 85
2.837, 31.53, 49
2.457, 36.57, 16
2.023, 44.80, 63
1.647, 55.81, 52
1.638, 56.14, 19
1.509, 61.44, 16
1.273, 74.53, 14
1.206, 79.46, 13

Structural model:
```
8
Lattice="5.675 0.000 0.000 -2.837 4.915 0.000 0.000 0.000 3.564" Properties=species:S:1:pos:R:3 pbc="T T T"
Gd 0.000 0.000 0.000
Y 2.838 1.638 1.782
F -1.965 3.699 1.782
F 0.617 1.364 1.782
F 2.238 0.281 0.000
F 1.962 2.836 0.000
F 1.348 4.767 1.782
F 4.313 1.798 0.000
```


Record 9
Diffraction record for Zr4FeAuC2. The powder XRD pattern is calculated, not measured: it uses a cell relaxed with GGA-PBE and Cu Kα, 1.54184 Å.
Peak positions follow from Bragg's law for the DFT cell and can differ from measured ones.

Peak list (10 most intense, 15° ≤ 2θ ≤ 90°, sorted by position)
d/Å, 2θ/deg, intensity
2.868, 31.19, 28
2.650, 33.83, 15
2.436, 36.90, 100
2.308, 39.02, 15
1.992, 45.53, 10
1.798, 50.77, 13
1.656, 55.50, 22
1.369, 68.52, 16
1.356, 69.29, 10
1.345, 69.92, 16

Structural model:
```
8
Lattice="3.312 0.000 0.000 -1.656 2.868 0.000 0.000 0.000 13.850" Properties=species:S:1:pos:R:3 pbc="T T T"
Zr 0.000 0.000 1.986
Zr 0.000 0.000 11.864
Zr 1.656 0.956 4.627
Zr 1.656 0.956 9.224
Fe 1.656 0.956 0.000
Au 0.000 0.000 6.925
C 0.000 1.912 3.358
C 0.000 1.912 10.492
```


Record 10
Diffraction record for ZrSbI6. The powder XRD pattern is calculated, not measured: it uses a cell relaxed with GGA-PBE and Cu Kα, 1.54184 Å.
Peak positions follow from Bragg's law for the DFT cell and can differ from measured ones.

Peak list (10 most intense, 15° ≤ 2θ ≤ 90°, sorted by position)
d/Å, 2θ/deg, intensity
3.659, 24.33, 30
3.636, 24.48, 28
3.159, 28.25, 100
2.245, 40.17, 12
2.233, 40.39, 46
2.224, 40.56, 11
1.901, 47.85, 9
1.818, 50.18, 11
1.579, 58.44, 9
1.413, 66.15, 13

Structural model:
```
16
Lattice="7.754 0.000 0.000 0.000 13.344 0.000 -2.537 0.000 7.310" Properties=species:S:1:pos:R:3 pbc="T T T"
Zr 0.000 0.000 0.000
Zr 3.877 6.672 0.000
Sb 0.000 8.895 0.000
Sb 3.877 2.223 0.000
I 1.025 11.207 1.714
I -0.141 0.150 5.628
I 1.321 1.959 1.695
I 0.018 8.631 5.615
I 1.481 6.822 1.682
I 0.315 4.535 5.596
I 4.902 4.535 1.714
I 3.736 6.822 5.628
I 5.198 8.631 1.695
I 3.895 1.959 5.615
I 5.358 0.150 1.682
I 4.192 11.207 5.596
```


Record 11
Diffraction record for Sc2Ga3GePt2. The powder XRD pattern is calculated, not measured: it uses a cell relaxed with GGA-PBE and Cu Kα, 1.54184 Å.
Peak positions follow from Bragg's law for the DFT cell and can differ from measured ones.

Peak list (10 most intense, 15° ≤ 2θ ≤ 90°, sorted by position)
d/Å, 2θ/deg, intensity
4.928, 18.00, 72
3.356, 26.56, 100
2.514, 35.72, 42
2.507, 35.82, 50
2.422, 37.12, 49
2.413, 37.27, 43
2.128, 42.48, 64
2.042, 44.36, 42
2.031, 44.61, 47
1.909, 47.65, 38

Structural model:
```
16
Lattice="9.857 0.000 0.000 0.000 4.256 0.000 -0.046 0.000 6.551" Properties=species:S:1:pos:R:3 pbc="T T T"
Sc 0.000 0.000 0.000
Sc 1.619 0.000 3.278
Sc 4.928 2.128 0.000
Sc 6.547 2.128 3.278
Ga 2.026 2.128 5.235
Ga 2.080 2.128 1.338
Ga 4.476 0.000 1.933
Ga 6.954 0.000 5.235
Ga 7.009 0.000 1.338
Ga 9.404 2.128 1.933
Ge 4.466 0.000 4.620
Ge 9.395 2.128 4.620
Pt 2.758 0.000 6.532
Pt 3.726 2.128 3.308
Pt 7.687 2.128 6.532
Pt 8.654 0.000 3.308
```